# Sm12TmAl4O3
Simulated powder X-ray diffraction pattern, CuKα. Input: a PBE-relaxed structure.
Lines closer than 0.1° are merged.

Structural model:
Cell: 8.732 8.732 8.732 Å, 109.47 109.47 109.47°
Positions (direct):
Sm  0.000  0.274  0.274
Sm  0.000  0.726  0.726
Sm  0.250  0.500  0.750
Sm  0.250  0.750  0.500
Sm  0.274  0.000  0.274
Sm  0.274  0.274  0.000
Sm  0.500  0.250  0.750
Sm  0.500  0.750  0.250
Sm  0.726  0.000  0.726
Sm  0.726  0.726  0.000
Sm  0.750  0.250  0.500
Sm  0.750  0.500  0.250
Tm  0.000  0.000  0.000
Al  0.000  0.000  0.500
Al  0.000  0.500  0.000
Al  0.500  0.000  0.000
Al  0.500  0.500  0.500
O  0.000  0.500  0.500
O  0.500  0.000  0.500
O  0.500  0.500  0.000

Largest 10 diffraction maxima, sorted by position, 2θ = 10–90°:
2theta	I/Imax
17.59	56
30.72	100
35.62	80
39.99	24
51.25	54
54.61	12
60.95	38
63.97	17
83.60	14
86.29	21